V4Zn2O9: computed PXRD pattern (Cu Kα), based on the GGA+U geometry in Alexandria.

Principal peaks in the range 10 to 80 degrees two-theta, most intense first:
| Position (°2θ) | intensity | hkl |
| --- | --- | --- |
| 35.05 | 100 | 1 -1 0 |
| 32.29 | 69 | 1 1 4 |
| 32.57 | 66 | 1 0 -4 |
| 32.71 | 64 | 0 1 -4 |
| 35.25 | 45 | 2 1 0 |
| 53.47 | 37 | 1 2 -6 |
| 52.77 | 35 | 2 1 6 |
| 48.13 | 27 | 0 2 4 |
| 23.99 | 25 | 1 1 -2 |
| 48.59 | 24 | 2 0 4 |
| 61.20 | 23 | 3 2 4 |
| 49.12 | 22 | 2 2 -4 |

Cell and atoms:
Cell: 5.0921 5.1160 14.0638 Å, 88.96 89.37 60.29°
Space group P-1 (No. 2)
One atom of each set of equivalent atoms:
1 V 0.1554 0.1789 0.0177 (multiplicity 2)
2 V 0.1558 0.1661 0.3128 (multiplicity 2)
3 V 0.1671 0.1793 0.5175 (multiplicity 2)
4 V 0.1697 0.1761 0.8151 (multiplicity 2)
5 Zn 0.4873 0.5087 0.3562 (multiplicity 2)
6 Zn 0.4876 0.4933 0.1429 (multiplicity 2)
7 O 0.1192 0.8422 0.0801 (multiplicity 2)
8 O 0.1283 0.5171 0.5847 (multiplicity 2)
9 O 0.1503 0.8348 0.7472 (multiplicity 2)
10 O 0.1540 0.8807 0.4214 (multiplicity 2)
11 O 0.1546 0.4880 0.9158 (multiplicity 2)
12 O 0.1924 0.4873 0.2501 (multiplicity 2)
13 O 0.4649 0.1559 0.4186 (multiplicity 2)
14 O 0.4674 0.8834 0.9201 (multiplicity 2)
15 O 0.4942 0.8292 0.2538 (multiplicity 2)